[1]
# Hg2C3I7N9
Theoretical X-ray powder pattern, λ = 1.5418 Å (Cu Kα). Input: a DFT-relaxed cell (GGA-PBE, the Materials Project).
Intensities are scaled so that the largest is 100.

```
Hg2C3I7N9
1.0
6.0495 -6.3906 0.0000
6.0495 6.3906 0.0000
-4.1677 0.0000 17.1309
Hg C I N
4 6 14 18
Direct
0.0640 0.0973 0.3669 Hg
0.0973 0.0640 0.8669 Hg
0.9027 0.9360 0.1331 Hg
0.9360 0.9027 0.6331 Hg
0.2508 0.4307 0.0523 C
0.4235 0.5765 0.2500 C
0.4307 0.2508 0.5523 C
0.5693 0.7492 0.4477 C
0.5765 0.4235 0.7500 C
0.7492 0.5693 0.9477 C
0.0184 0.2752 0.6528 I
0.0704 0.3502 0.8248 I
0.0856 0.7560 0.5166 I
0.1737 0.8263 0.7500 I
0.2440 0.9144 0.9834 I
0.2752 0.0184 0.1528 I
0.3502 0.0704 0.3248 I
0.6498 0.9296 0.6752 I
0.7248 0.9816 0.8472 I
0.7560 0.0856 0.0166 I
0.8263 0.1737 0.2500 I
0.9144 0.2440 0.4834 I
0.9296 0.6498 0.1752 I
0.9816 0.7248 0.3472 I
0.1384 0.3510 0.0214 N
0.2940 0.4908 0.2407 N
0.3510 0.1384 0.5214 N
0.3921 0.5277 0.4078 N
0.3979 0.4857 0.0798 N
0.4691 0.5309 0.7500 N
0.4723 0.6079 0.0922 N
0.4857 0.3979 0.5798 N
0.4908 0.2940 0.7407 N
0.5092 0.7060 0.2593 N
0.5143 0.6021 0.4202 N
0.5277 0.3921 0.9078 N
0.5309 0.4691 0.2500 N
0.6021 0.5143 0.9202 N
0.6079 0.4723 0.5922 N
0.6490 0.8616 0.4786 N
0.7060 0.5092 0.7593 N
0.8616 0.6490 0.9786 N
```

Peak list (10 most intense, 5 to 70 degrees two-theta, most intense first)
2θ 10.22, intensity 100; 2θ 20.27, intensity 49; 2θ 23.13, intensity 31; 2θ 29.60, intensity 16; 2θ 40.39, intensity 15; 2θ 25.03, intensity 13; 2θ 29.28, intensity 10; 2θ 21.34, intensity 9; 2θ 30.95, intensity 9; 2θ 34.50, intensity 9

[2]
# HgCI3N
Theoretical X-ray powder pattern, λ = 1.5418 Å (Cu Kα). Input: a DFT-relaxed cell (GGA-PBE, the Materials Project).
Intensities are scaled so that the largest is 100.

```
HgCI3N
1.0
6.5052 0.0000 0.0000
0.0000 7.7799 0.0000
-5.7112 0.0000 17.6496
Hg C I N
4 4 12 4
Direct
0.2222 0.1199 0.3231 Hg
0.2222 0.3801 0.8231 Hg
0.7778 0.6199 0.1769 Hg
0.7778 0.8801 0.6769 Hg
0.1349 0.7474 0.5555 C
0.1349 0.7526 0.0555 C
0.8651 0.2474 0.9445 C
0.8651 0.2526 0.4445 C
0.1956 0.7322 0.3108 I
0.1956 0.7678 0.8108 I
0.2799 0.2423 0.4644 I
0.2799 0.2577 0.9644 I
0.3146 0.2283 0.1903 I
0.3146 0.2717 0.6903 I
0.6854 0.7283 0.3097 I
0.6854 0.7717 0.8097 I
0.7201 0.7423 0.0356 I
0.7201 0.7577 0.5356 I
0.8044 0.2322 0.1892 I
0.8044 0.2678 0.6892 I
0.3169 0.7487 0.5552 N
0.3169 0.7513 0.0552 N
0.6831 0.2487 0.9448 N
0.6831 0.2513 0.4448 N
```

Peak list (10 most intense, 5 to 70 degrees two-theta, most intense first)
2θ 28.84, intensity 100; 2θ 18.32, intensity 100; 2θ 10.02, intensity 96; 2θ 22.86, intensity 84; 2θ 40.36, intensity 83; 2θ 14.74, intensity 81; 2θ 23.17, intensity 65; 2θ 23.42, intensity 60; 2θ 30.40, intensity 43; 2θ 35.02, intensity 35